UZn20Ru2: computed powder diffractogram (Cu Kα (λ = 1.5418 Å)), based on a DFT-relaxed cell (GGA-PBE, Alexandria).

Most intense lines, 10 to 90 degrees two-theta, in order of rising 2θ:
2θ 20.66, d = 4.300 Å, I 35; 2θ 35.61, d = 2.521 Å, I 29; 2θ 37.30, d = 2.411 Å, I 100; 2θ 39.98, d = 2.255 Å, I 57; 2θ 41.52, d = 2.175 Å, I 92; 2θ 42.02, d = 2.150 Å, I 81; 2θ 54.60, d = 1.681 Å, I 34; 2θ 68.35, d = 1.372 Å, I 20; 2θ 75.40, d = 1.261 Å, I 47; 2θ 79.18, d = 1.210 Å, I 24

Structure:
a = 10.0847 Å, b = 10.0847 Å, c = 10.0847 Å
α = 60.00°, β = 60.00°, γ = 60.00°
Fractional coordinates of all 46 atoms:
U  0.1250  0.1250  0.1250
U  0.8750  0.8750  0.8750
Zn  0.0000  0.0000  0.0000
Zn  0.0000  0.0000  0.5000
Zn  0.0000  0.5000  0.0000
Zn  0.0561  0.3243  0.3243
Zn  0.0561  0.3243  0.7954
Zn  0.0561  0.7954  0.3243
Zn  0.2046  0.6757  0.6757
Zn  0.2046  0.6757  0.9439
Zn  0.2046  0.9439  0.6757
Zn  0.2380  0.2380  0.5120
Zn  0.2380  0.5120  0.2380
Zn  0.2380  0.5120  0.5120
Zn  0.3243  0.0561  0.3243
Zn  0.3243  0.0561  0.7954
Zn  0.3243  0.3243  0.0561
Zn  0.3243  0.3243  0.7954
Zn  0.3243  0.7954  0.0561
Zn  0.3243  0.7954  0.3243
Zn  0.4880  0.4880  0.7620
Zn  0.4880  0.7620  0.4880
Zn  0.4880  0.7620  0.7620
Zn  0.5000  0.0000  0.0000
Zn  0.5120  0.2380  0.2380
Zn  0.5120  0.2380  0.5120
Zn  0.5120  0.5120  0.2380
Zn  0.6757  0.2046  0.6757
Zn  0.6757  0.2046  0.9439
Zn  0.6757  0.6757  0.2046
Zn  0.6757  0.6757  0.9439
Zn  0.6757  0.9439  0.2046
Zn  0.6757  0.9439  0.6757
Zn  0.7620  0.4880  0.4880
Zn  0.7620  0.4880  0.7620
Zn  0.7620  0.7620  0.4880
Zn  0.7954  0.0561  0.3243
Zn  0.7954  0.3243  0.0561
Zn  0.7954  0.3243  0.3243
Zn  0.9439  0.2046  0.6757
Zn  0.9439  0.6757  0.2046
Zn  0.9439  0.6757  0.6757
Ru  0.0000  0.5000  0.5000
Ru  0.5000  0.0000  0.5000
Ru  0.5000  0.5000  0.0000
Ru  0.5000  0.5000  0.5000

---

V8Ru3: computed powder diffractogram (Cu Kα (λ = 1.5418 Å)), based on a DFT-relaxed cell (GGA-PBE, Alexandria).

Most intense lines, 10 to 90 degrees two-theta, in order of rising 2θ:
2θ 22.80, d = 3.900 Å, I 21; 2θ 41.34, d = 2.184 Å, I 55; 2θ 41.81, d = 2.160 Å, I 57; 2θ 42.17, d = 2.143 Å, I 100; 2θ 43.56, d = 2.078 Å, I 88; 2θ 60.25, d = 1.536 Å, I 38; 2θ 75.95, d = 1.253 Å, I 16; 2θ 76.92, d = 1.240 Å, I 15; 2θ 78.53, d = 1.218 Å, I 16; 2θ 87.08, d = 1.119 Å, I 21

Structure:
a = 13.2417 Å, b = 13.2417 Å, c = 13.2417 Å
α = 168.49°, β = 161.01°, γ = 22.26°
Fractional coordinates of all 11 atoms:
V  0.0446  0.0446  0.0000
V  0.2226  0.2226  0.0000
V  0.3115  0.8115  0.5000
V  0.4066  0.9066  0.5000
V  0.5934  0.0934  0.5000
V  0.6885  0.1885  0.5000
V  0.7774  0.7774  0.0000
V  0.9554  0.9554  0.0000
Ru  0.1333  0.6333  0.5000
Ru  0.5000  0.5000  0.0000
Ru  0.8667  0.3667  0.5000

---

V3Ru7: computed powder diffractogram (Cu Kα (λ = 1.5418 Å)), based on a DFT-relaxed cell (GGA-PBE, Alexandria).

Most intense lines, 10 to 90 degrees two-theta, in order of rising 2θ:
2θ 40.88, d = 2.208 Å, I 97; 2θ 42.14, d = 2.144 Å, I 100; 2θ 44.34, d = 2.043 Å, I 86; 2θ 45.88, d = 1.978 Å, I 15; 2θ 55.62, d = 1.653 Å, I 16; 2θ 64.50, d = 1.445 Å, I 27; 2θ 73.71, d = 1.285 Å, I 14; 2θ 80.04, d = 1.199 Å, I 14; 2θ 81.01, d = 1.187 Å, I 15; 2θ 85.40, d = 1.137 Å, I 24

Structure:
a = 7.1417 Å, b = 7.1417 Å, c = 7.1417 Å
α = 146.72°, β = 135.90°, γ = 56.35°
Fractional coordinates of all 10 atoms:
V  0.0000  0.0000  0.0000
V  0.3049  0.8049  0.5000
V  0.6951  0.1951  0.5000
Ru  0.1431  0.3938  0.7493
Ru  0.2000  0.2000  0.0000
Ru  0.3554  0.6062  0.7493
Ru  0.5000  0.0000  0.5000
Ru  0.6446  0.3938  0.2507
Ru  0.8000  0.8000  0.0000
Ru  0.8569  0.6062  0.2507

---

VRu4: computed powder diffractogram (Cu Kα (λ = 1.5418 Å)), based on a DFT-relaxed cell (GGA-PBE, Alexandria).

Most intense lines, 10 to 90 degrees two-theta, in order of rising 2θ:
2θ 32.33, d = 2.769 Å, I 3; 2θ 39.51, d = 2.281 Å, I 36; 2θ 40.72, d = 2.216 Å, I 28; 2θ 42.97, d = 2.105 Å, I 100; 2θ 58.03, d = 1.589 Å, I 19; 2θ 66.57, d = 1.405 Å, I 7; 2θ 74.04, d = 1.280 Å, I 19; 2θ 75.67, d = 1.257 Å, I 15; 2θ 80.26, d = 1.196 Å, I 8; 2θ 81.06, d = 1.186 Å, I 7

Structure:
a = 11.3104 Å, b = 11.1666 Å, c = 2.6790 Å
α = 86.22°, β = 80.11°, γ = 13.67°
Fractional coordinates of all 5 atoms:
V  0.0000  0.0000  0.0000
Ru  0.2002  0.2002  0.7998
Ru  0.4062  0.4062  0.5938
Ru  0.5938  0.5938  0.4062
Ru  0.7998  0.7998  0.2002

---

V4Ru: computed powder diffractogram (Cu Kα (λ = 1.5418 Å)), based on a DFT-relaxed cell (GGA-PBE, Alexandria).

Most intense lines, 10 to 90 degrees two-theta, in order of rising 2θ:
2θ 21.54, d = 4.126 Å, I 8; 2θ 25.08, d = 3.550 Å, I 6; 2θ 41.39, d = 2.182 Å, I 100; 2θ 42.01, d = 2.151 Å, I 24; 2θ 51.59, d = 1.772 Å, I 25; 2θ 67.68, d = 1.384 Å, I 10; 2θ 68.64, d = 1.367 Å, I 10; 2θ 75.45, d = 1.260 Å, I 7; 2θ 76.30, d = 1.248 Å, I 7; 2θ 79.39, d = 1.207 Å, I 7

Structure:
a = 7.6180 Å, b = 6.7792 Å, c = 4.9926 Å
α = 79.06°, β = 60.89°, γ = 40.05°
Fractional coordinates of all 10 atoms:
V  0.0263  0.0263  0.2237
V  0.1759  0.1759  0.5741
V  0.2237  0.2237  0.0263
V  0.4259  0.4259  0.8241
V  0.5741  0.5741  0.1759
V  0.7763  0.7763  0.9737
V  0.8241  0.8241  0.4259
V  0.9737  0.9737  0.7763
Ru  0.3750  0.3750  0.3750
Ru  0.6250  0.6250  0.6250

---

V5Ru2: computed powder diffractogram (Cu Kα (λ = 1.5418 Å)), based on a DFT-relaxed cell (GGA-PBE, Alexandria).

Most intense lines, 10 to 90 degrees two-theta, in order of rising 2θ:
2θ 20.45, d = 4.344 Å, I 35; 2θ 22.56, d = 3.942 Å, I 33; 2θ 24.08, d = 3.696 Å, I 26; 2θ 40.53, d = 2.226 Å, I 32; 2θ 41.65, d = 2.169 Å, I 82; 2θ 42.44, d = 2.130 Å, I 100; 2θ 42.58, d = 2.123 Å, I 73; 2θ 43.36, d = 2.087 Å, I 27; 2θ 44.20, d = 2.049 Å, I 50; 2θ 45.67, d = 1.986 Å, I 30

Structure:
a = 2.7506 Å, b = 8.4426 Å, c = 8.8228 Å
α = 83.30°, β = 82.11°, γ = 85.99°
Fractional coordinates of all 14 atoms:
V  0.0000  0.0000  0.0000
V  0.9995  0.3303  0.5306
V  0.0584  0.4186  0.7946
V  0.0586  0.9176  0.2953
V  0.1173  0.5058  0.0590
V  0.1165  0.8364  0.5906
V  0.3192  0.5540  0.3333
V  0.4152  0.7686  0.8511
V  0.7023  0.0677  0.7390
V  0.7977  0.2816  0.2560
Ru  0.4661  0.0837  0.4647
Ru  0.5182  0.2484  0.0029
Ru  0.5993  0.5880  0.5861
Ru  0.6510  0.7523  0.1252

---

V3Ru3W: computed powder diffractogram (Cu Kα (λ = 1.5418 Å)), based on a DFT-relaxed cell (GGA-PBE, Alexandria).

Most intense lines, 10 to 90 degrees two-theta, in order of rising 2θ:
2θ 15.27, d = 5.804 Å, I 17; 2θ 25.40, d = 3.507 Å, I 12; 2θ 34.41, d = 2.607 Å, I 26; 2θ 35.06, d = 2.559 Å, I 32; 2θ 37.11, d = 2.423 Å, I 15; 2θ 41.01, d = 2.201 Å, I 40; 2θ 43.64, d = 2.074 Å, I 100; 2θ 45.38, d = 1.998 Å, I 13; 2θ 45.91, d = 1.977 Å, I 14; 2θ 76.54, d = 1.245 Å, I 17

Structure:
a = 5.9558 Å, b = 5.9558 Å, c = 5.8037 Å
α = 90.00°, β = 90.00°, γ = 95.30°
Fractional coordinates of all 14 atoms:
V  0.2288  0.7712  0.0000
V  0.2611  0.7389  0.5000
V  0.2936  0.2936  0.5000
V  0.7064  0.7064  0.5000
V  0.7389  0.2611  0.5000
V  0.7712  0.2288  0.0000
Ru  0.0000  0.0000  0.2568
Ru  0.0000  0.0000  0.7432
Ru  0.0000  0.5000  0.2523
Ru  0.0000  0.5000  0.7477
Ru  0.5000  0.0000  0.2523
Ru  0.5000  0.0000  0.7477
W  0.3284  0.3284  0.0000
W  0.6716  0.6716  0.0000

---

V2Ru5W: computed powder diffractogram (Cu Kα (λ = 1.5418 Å)), based on a DFT-relaxed cell (GGA-PBE, Alexandria).

Most intense lines, 10 to 90 degrees two-theta, in order of rising 2θ:
2θ 18.76, d = 4.729 Å, I 18; 2θ 40.24, d = 2.241 Å, I 42; 2θ 41.06, d = 2.198 Å, I 100; 2θ 41.22, d = 2.190 Å, I 48; 2θ 42.95, d = 2.106 Å, I 20; 2θ 43.43, d = 2.083 Å, I 47; 2θ 44.03, d = 2.056 Å, I 25; 2θ 49.14, d = 1.854 Å, I 22; 2θ 67.64, d = 1.385 Å, I 17; 2θ 77.60, d = 1.230 Å, I 18

Structure:
a = 5.3163 Å, b = 10.3491 Å, c = 4.1669 Å
α = 90.00°, β = 90.00°, γ = 90.00°
Fractional coordinates of all 16 atoms:
V  0.1553  0.1449  0.0000
V  0.3447  0.6449  0.0000
V  0.6553  0.3551  0.0000
V  0.8447  0.8551  0.0000
Ru  0.0000  0.0000  0.5000
Ru  0.1217  0.7339  0.5000
Ru  0.1871  0.3900  0.0000
Ru  0.3129  0.8900  0.0000
Ru  0.3783  0.2339  0.5000
Ru  0.5000  0.5000  0.5000
Ru  0.6217  0.7661  0.5000
Ru  0.6871  0.1100  0.0000
Ru  0.8129  0.6100  0.0000
Ru  0.8783  0.2661  0.5000
W  0.0000  0.5000  0.5000
W  0.5000  0.0000  0.5000